# Ba2MgIn6Ga
Simulated powder diffractogram, a wavelength of 1.5418 Å. Input: DFT lattice parameters and positions (GGA-PBE).
Peak positions follow from Bragg's law for the DFT cell and can differ from measured ones.

Most intense lines, 10° ≤ 2θ ≤ 80°, in order of rising 2θ:
2theta, intensity
23.96, 28
24.73, 41
25.53, 37
29.62, 30
33.59, 74
34.19, 100
34.56, 47
34.69, 31
35.45, 42
36.96, 57

Crystal structure
```
Ba2MgIn6Ga
1.0
6.228 0.000 0.000
3.107 6.991 0.000
3.106 0.441 7.200
Ba Mg In Ga
2 1 6 1
Cartesian
1.555 1.727 1.712 Ba
10.886 5.705 5.488 Ba
4.667 3.495 0.000 Mg
3.137 1.949 5.525 In
4.670 3.081 2.981 In
6.184 1.944 5.532 In
6.256 5.488 1.668 In
7.771 4.352 4.219 In
9.303 5.483 1.675 In
4.667 0.221 3.600 Ga
```


# K4CeTh3S8
Simulated powder diffractogram, a wavelength of 1.5418 Å. Input: DFT lattice parameters and positions (GGA-PBE).
Peak positions follow from Bragg's law for the DFT cell and can differ from measured ones.

Most intense lines, 10° ≤ 2θ ≤ 80°, in order of rising 2θ:
2theta, intensity
11.82, 89
23.77, 20
25.23, 37
26.17, 44
29.63, 100
37.68, 22
40.88, 38
43.88, 34
45.60, 21
53.84, 18

Crystal structure
```
K4CeTh3S8
1.0
4.127 2.383 7.486
-4.127 2.383 7.486
0.000 -4.765 7.486
K Ce Th S
4 1 3 8
Cartesian
0.000 0.000 0.000 K
-2.063 -1.191 7.486 K
-2.063 1.191 14.972 K
0.000 2.383 7.486 K
0.000 0.000 11.229 Ce
-4.127 0.000 11.229 Th
-2.063 1.191 3.743 Th
2.063 1.191 3.743 Th
-2.089 -1.206 12.817 S
0.000 0.000 5.334 S
0.000 -2.412 9.641 S
-2.089 1.206 9.641 S
2.089 -1.206 12.817 S
0.000 2.412 12.817 S
0.000 0.000 17.124 S
2.089 1.206 9.641 S
```


# TbPt2Au2
Simulated powder diffractogram, a wavelength of 1.5418 Å. Input: DFT lattice parameters and positions (GGA-PBE).
Peak positions follow from Bragg's law for the DFT cell and can differ from measured ones.

Most intense lines, 10° ≤ 2θ ≤ 80°, in order of rising 2θ:
2theta, intensity
37.09, 100
41.80, 18
43.43, 16
44.03, 16
61.86, 11
62.33, 11
73.22, 13
75.52, 13
76.38, 13
79.01, 11

Crystal structure
```
TbPt2Au2
1.0
2.083 -10.806 0.000
2.083 10.806 0.000
0.000 0.000 4.113
Tb Pt Au
2 4 4
Cartesian
2.083 7.435 3.085 Tb
2.083 -7.435 1.028 Tb
2.083 5.388 1.028 Pt
2.083 3.225 3.085 Pt
2.083 -3.225 1.028 Pt
2.083 -5.388 3.085 Pt
2.083 9.697 1.028 Au
2.083 1.069 1.028 Au
2.083 -1.069 3.085 Au
2.083 -9.697 3.085 Au
```


# Tl3Hg5Au3
Simulated powder diffractogram, a wavelength of 1.5418 Å. Input: DFT lattice parameters and positions (GGA-PBE).
Peak positions follow from Bragg's law for the DFT cell and can differ from measured ones.

Most intense lines, 10° ≤ 2θ ≤ 80°, in order of rising 2θ:
2theta, intensity
19.03, 55
27.44, 44
29.75, 62
30.12, 51
34.27, 28
35.87, 100
38.60, 47
39.49, 41
41.48, 30
44.45, 43

Crystal structure
```
Tl3Hg5Au3
1.0
9.064 0.000 0.000
-4.532 7.850 0.000
0.000 0.000 4.664
Tl Hg Au
3 5 3
Cartesian
-2.509 4.346 0.000 Tl
2.023 3.504 0.000 Tl
5.018 0.000 0.000 Tl
-3.610 6.252 2.332 Hg
0.922 1.597 2.332 Hg
0.000 5.233 2.332 Hg
4.532 2.617 2.332 Hg
7.219 0.000 2.332 Hg
-1.616 2.800 2.332 Au
3.233 0.000 2.332 Au
2.915 5.050 2.332 Au
```